No. 1
This entry pairs a crystal structure of Li6LaPb6 with its theoretical powder XRD pattern. Radiation: Cu Ka. Structure: a DFT-relaxed cell (PBE, Alexandria).

Atomic structure:
abc: 6.007 9.714 10.335
angles: 90.00 90.00 90.00
Space group Immm (No. 71)
Inequivalent atoms, fractional coordinates:
1 Li 0.000 0.247 0.000 x4
2 Li 0.250 0.250 0.250 x8
3 La 0.000 0.500 0.500 x2
4 Pb 0.000 0.000 0.169 x4
5 Pb 0.000 0.156 0.500 x4
6 Pb 0.000 0.500 0.162 x4

Principal peaks in the range 10 to 80 degrees two-theta, in order of rising 2θ:
- d = 4.857 Å, 18.3 deg, intensity 52, hkl 0 2 0
- d = 3.545 Å, 25.1 deg, intensity 44, hkl 1 2 1
- d = 3.003 Å, 29.7 deg, intensity 51, hkl 2 0 0
- d = 2.988 Å, 29.9 deg, intensity 100, hkl 1 0 3
- d = 2.545 Å, 35.3 deg, intensity 46, hkl 1 2 3
- d = 1.424 Å, 65.6 deg, intensity 33, hkl 2 6 0



No. 2
This entry pairs a crystal structure of Nb2Ni5 with its theoretical powder XRD pattern. Radiation: Cu Ka. Structure: a DFT-relaxed cell (PBE, Alexandria).

Atomic structure:
abc: 6.451 11.055 5.078
angles: 90.00 90.00 90.00
Space group Ibam (No. 72)
Inequivalent atoms, fractional coordinates:
1 Nb 0.184 0.102 0.000 x8
2 Ni 0.000 0.278 0.250 x8
3 Ni 0.000 0.500 0.250 x4
4 Ni 0.222 0.129 0.500 x8

Principal peaks in the range 10 to 80 degrees two-theta, in order of rising 2θ:
- d = 2.310 Å, 39.0 deg, intensity 52, hkl 1 1 2
- d = 2.111 Å, 42.8 deg, intensity 47, hkl 3 1 0
- d = 2.099 Å, 43.1 deg, intensity 91, hkl 2 4 0
- d = 2.092 Å, 43.3 deg, intensity 38, hkl 1 5 0
- d = 1.995 Å, 45.5 deg, intensity 100, hkl 2 0 2
- d = 1.870 Å, 48.7 deg, intensity 84, hkl 0 4 2



No. 3
This entry pairs a crystal structure of Pm5HgPb2 with its theoretical powder XRD pattern. Radiation: Cu Ka. Structure: a DFT-relaxed cell (PBE, Alexandria).

Atomic structure:
abc: 7.184 7.184 9.188
angles: 90.00 90.00 90.00
Space group I4mm (No. 107)
Inequivalent atoms, fractional coordinates:
1 Pm 0.000 0.000 0.000 x2
2 Pm 0.250 0.250 0.249 x8
3 Hg 0.000 0.000 0.497 x2
4 Pb 0.000 0.500 0.499 x4

Principal peaks in the range 10 to 80 degrees two-theta, in order of rising 2θ:
- d = 2.830 Å, 31.6 deg, intensity 100, hkl 2 0 2
- d = 2.540 Å, 35.3 deg, intensity 37, hkl 2 2 0
- d = 2.297 Å, 39.2 deg, intensity 14, hkl 0 0 4
- d = 1.796 Å, 50.8 deg, intensity 13, hkl 4 0 0
- d = 1.704 Å, 53.8 deg, intensity 23, hkl 2 2 4
- d = 1.516 Å, 61.1 deg, intensity 31, hkl 4 2 2



No. 4
This entry pairs a crystal structure of Tm6BSe4 with its theoretical powder XRD pattern. Radiation: Cu Ka. Structure: a DFT-relaxed cell (PBE, Alexandria).

Atomic structure:
abc: 11.1348 11.1348 13.8605
angles: 90.00 90.00 120.00
Space group R-3c (No. 167, hexagonal axes)
Inequivalent atoms, fractional coordinates:
1 Tm 0.0337 0.1923 0.3965 x36
2 B 0.0000 0.0000 0.0000 x6
3 Se 0.0000 0.0000 0.2500 x6
4 Se 0.0000 0.3719 0.2500 x18

Principal peaks in the range 10 to 80 degrees two-theta, in order of rising 2θ:
- d = 3.261 Å, 27.3 deg, intensity 33, hkl 1 0 4
- d = 3.226 Å, 27.7 deg, intensity 39, hkl 1 2 2
- d = 2.626 Å, 34.1 deg, intensity 49, hkl 1 3 1
- d = 2.511 Å, 35.8 deg, intensity 41, hkl 2 1 4
- d = 2.384 Å, 37.7 deg, intensity 100, hkl 2 2 3
- d = 2.310 Å, 39.0 deg, intensity 22, hkl 0 0 6



No. 5
This entry pairs a crystal structure of CaZn12Pt6 with its theoretical powder XRD pattern. Radiation: Cu Ka. Structure: a DFT-relaxed cell (PBE, Alexandria).

Atomic structure:
abc: 11.4458 11.4458 8.6879
angles: 90.00 90.00 120.00
Space group R-3m (No. 166, hexagonal axes)
Inequivalent atoms, fractional coordinates:
1 Ca 0.0000 0.0000 0.0000 x3
2 Zn 0.0000 0.3881 0.5000 x18
3 Zn 0.0882 0.1765 0.3050 x18
4 Pt 0.0520 0.5260 0.2482 x18

Principal peaks in the range 10 to 80 degrees two-theta, in order of rising 2θ:
- d = 5.723 Å, 15.5 deg, intensity 51, hkl 1 1 0
- d = 3.440 Å, 25.9 deg, intensity 47, hkl 2 1 1
- d = 3.267 Å, 27.3 deg, intensity 68, hkl 2 0 2
- d = 2.200 Å, 41.0 deg, intensity 100, hkl 3 2 1
- d = 2.178 Å, 41.5 deg, intensity 71, hkl 0 3 3
- d = 1.989 Å, 45.6 deg, intensity 63, hkl 0 2 4



No. 6
This entry pairs a crystal structure of Ca2Tc3 with its theoretical powder XRD pattern. Radiation: Cu Ka. Structure: a DFT-relaxed cell (PBE, Alexandria).

Atomic structure:
abc: 9.536 15.195 6.030
angles: 90.00 90.00 90.00
Space group Fdd2 (No. 43)
Inequivalent atoms, fractional coordinates:
1 Ca 0.086 0.300 0.000 x16
2 Tc 0.000 0.000 0.236 x8
3 Tc 0.088 0.373 0.512 x16

Principal peaks in the range 10 to 80 degrees two-theta, in order of rising 2θ:
- d = 4.832 Å, 18.4 deg, intensity 100, hkl 1 1 1
- d = 2.802 Å, 31.9 deg, intensity 25, hkl 0 2 2
- d = 2.458 Å, 36.6 deg, intensity 47, hkl 3 3 1
- d = 2.416 Å, 37.2 deg, intensity 54, hkl 2 2 2
- d = 2.116 Å, 42.7 deg, intensity 23, hkl 2 4 2
- d = 1.997 Å, 45.4 deg, intensity 24, hkl 1 7 1



No. 7
This entry pairs a crystal structure of AcTb7Tm12 with its theoretical powder XRD pattern. Radiation: Cu Ka. Structure: a DFT-relaxed cell (PBE, Alexandria).

Atomic structure:
abc: 11.203 11.203 11.203
angles: 90.00 90.00 90.00
Space group Im-3m (No. 229)
Inequivalent atoms, fractional coordinates:
1 Ac 0.000 0.000 0.000 x2
2 Tb 0.000 0.000 0.500 x6
3 Tb 0.250 0.250 0.250 x8
4 Tm 0.000 0.262 0.262 x24

Principal peaks in the range 10 to 80 degrees two-theta, in order of rising 2θ:
- d = 3.234 Å, 27.6 deg, intensity 75, hkl 2 2 2
- d = 2.801 Å, 32.0 deg, intensity 100, hkl 4 0 0
- d = 1.981 Å, 45.8 deg, intensity 72, hkl 4 4 0
- d = 1.689 Å, 54.3 deg, intensity 31, hkl 6 2 2
- d = 1.617 Å, 56.9 deg, intensity 24, hkl 4 4 4
- d = 1.253 Å, 76.0 deg, intensity 29, hkl 8 4 0



No. 8
This entry pairs a crystal structure of TlSb2 with its theoretical powder XRD pattern. Radiation: Cu Ka. Structure: a DFT-relaxed cell (PBE, Alexandria).

Atomic structure:
abc: 4.347 4.347 5.494
angles: 90.00 90.00 90.00
Space group P4/mmm (No. 123)
Inequivalent atoms, fractional coordinates:
1 Tl 0.000 0.000 0.000 x1
2 Sb 0.000 0.500 0.500 x2

Principal peaks in the range 10 to 80 degrees two-theta, in order of rising 2θ:
- d = 4.347 Å, 20.4 deg, intensity 34, hkl 1 0 0
- d = 3.409 Å, 26.1 deg, intensity 38, hkl 1 0 1
- d = 2.747 Å, 32.6 deg, intensity 27, hkl 0 0 2
- d = 2.682 Å, 33.4 deg, intensity 100, hkl 1 1 1
- d = 2.174 Å, 41.5 deg, intensity 27, hkl 2 0 0
- d = 1.333 Å, 70.6 deg, intensity 28, hkl 3 1 1



No. 9
This entry pairs a crystal structure of Ac6PuSe8 with its theoretical powder XRD pattern. Radiation: Cu Ka. Structure: a DFT-relaxed cell (PBE, Alexandria).

Atomic structure:
abc: 12.556 12.556 12.556
angles: 90.00 90.00 90.00
Space group Fm-3m (No. 225)
Inequivalent atoms, fractional coordinates:
1 Ac 0.000 0.250 0.250 x24
2 Pu 0.000 0.000 0.000 x4
3 Se 0.000 0.000 0.241 x24
4 Se 0.250 0.250 0.250 x8

Principal peaks in the range 10 to 80 degrees two-theta, in order of rising 2θ:
- d = 3.625 Å, 24.6 deg, intensity 33, hkl 2 2 2
- d = 3.139 Å, 28.4 deg, intensity 100, hkl 4 0 0
- d = 2.220 Å, 40.6 deg, intensity 77, hkl 4 4 0
- d = 1.812 Å, 50.3 deg, intensity 28, hkl 4 4 4
- d = 1.404 Å, 66.6 deg, intensity 36, hkl 8 4 0
- d = 1.281 Å, 74.0 deg, intensity 27, hkl 8 4 4



No. 10
This entry pairs a crystal structure of Ce2BC3 with its theoretical powder XRD pattern. Radiation: Cu Ka. Structure: a DFT-relaxed cell (PBE, Alexandria).

Atomic structure:
abc: 5.881 8.580 10.170
angles: 90.00 90.00 90.00
Space group Fmmm (No. 69)
Inequivalent atoms, fractional coordinates:
1 Ce 0.000 0.247 0.000 x8
2 Ce 0.250 0.250 0.250 x8
3 B 0.000 0.000 0.167 x8
4 C 0.000 0.000 0.339 x8
5 C 0.241 0.000 0.419 x16

Principal peaks in the range 10 to 80 degrees two-theta, in order of rising 2θ:
- d = 4.290 Å, 20.7 deg, intensity 60, hkl 0 2 0
- d = 2.544 Å, 35.3 deg, intensity 59, hkl 2 0 2
- d = 2.188 Å, 41.3 deg, intensity 100, hkl 2 2 2
- d = 2.145 Å, 42.1 deg, intensity 18, hkl 0 4 0
- d = 1.640 Å, 56.1 deg, intensity 32, hkl 2 4 2
- d = 1.390 Å, 67.4 deg, intensity 16, hkl 4 2 0



No. 11
This entry pairs a crystal structure of Ba4MgAg2 with its theoretical powder XRD pattern. Radiation: Cu Ka. Structure: a DFT-relaxed cell (PBE, Alexandria).

Atomic structure:
abc: 6.027 10.474 18.060
angles: 90.00 90.00 90.00
Space group Cmcm (No. 63)
Inequivalent atoms, fractional coordinates:
1 Ba 0.000 0.000 0.000 x4
2 Ba 0.000 0.332 0.128 x8
3 Ba 0.000 0.336 0.750 x4
4 Mg 0.000 0.004 0.750 x4
5 Ag 0.000 0.334 0.562 x8

Principal peaks in the range 10 to 80 degrees two-theta, in order of rising 2θ:
- d = 5.228 Å, 17.0 deg, intensity 15, hkl 1 1 0
- d = 3.417 Å, 26.1 deg, intensity 22, hkl 0 2 4
- d = 3.018 Å, 29.6 deg, intensity 100, hkl 2 0 0
- d = 2.972 Å, 30.1 deg, intensity 70, hkl 1 1 5
- d = 2.118 Å, 42.7 deg, intensity 26, hkl 2 2 5
- d = 1.733 Å, 52.8 deg, intensity 19, hkl 3 1 5



No. 12
This entry pairs a crystal structure of NdEr2C3 with its theoretical powder XRD pattern. Radiation: Cu Ka. Structure: a DFT-relaxed cell (PBE, Alexandria).

Atomic structure:
abc: 5.640 10.496 7.410
angles: 90.00 90.00 90.00
Space group Imma (No. 74)
Inequivalent atoms, fractional coordinates:
1 Nd 0.000 0.250 0.046 x4
2 Er 0.000 0.079 0.668 x8
3 C 0.122 0.000 0.000 x8
4 C 0.250 0.250 0.750 x4

Principal peaks in the range 10 to 80 degrees two-theta, in order of rising 2θ:
- d = 3.411 Å, 26.1 deg, intensity 94, hkl 1 2 1
- d = 3.164 Å, 28.2 deg, intensity 87, hkl 0 3 1
- d = 2.970 Å, 30.1 deg, intensity 68, hkl 1 1 2
- d = 2.820 Å, 31.7 deg, intensity 69, hkl 2 0 0
- d = 2.263 Å, 39.8 deg, intensity 100, hkl 1 0 3
- d = 2.105 Å, 43.0 deg, intensity 64, hkl 2 3 1